For SrGd2BeO5, the PBE geometry in the Materials Project gives the computed X-ray powder pattern in this record (a wavelength of 1.5418 Å).

Cell: 9.544 6.552 7.186 Å, 90.00 90.00 90.00°
Element x y z (fractional)
Sr  0.176  0.084  0.000
Sr  0.324  0.584  0.500
Sr  0.676  0.416  0.000
Sr  0.824  0.916  0.500
Gd  0.021  0.594  0.765
Gd  0.175  0.071  0.544
Gd  0.325  0.571  0.044
Gd  0.479  0.094  0.265
Gd  0.521  0.906  0.765
Gd  0.675  0.429  0.544
Gd  0.825  0.929  0.044
Gd  0.979  0.406  0.265
Be  0.101  0.807  0.267
Be  0.399  0.307  0.767
Be  0.601  0.693  0.267
Be  0.899  0.193  0.767
O  0.008  0.019  0.266
O  0.066  0.695  0.462
O  0.072  0.681  0.074
O  0.219  0.338  0.266
O  0.225  0.367  0.769
O  0.275  0.867  0.269
O  0.281  0.838  0.766
O  0.428  0.181  0.574
O  0.434  0.195  0.962
O  0.492  0.519  0.766
O  0.508  0.481  0.266
O  0.566  0.805  0.462
O  0.572  0.819  0.074
O  0.719  0.162  0.266
O  0.725  0.133  0.769
O  0.775  0.633  0.269
O  0.781  0.662  0.766
O  0.928  0.319  0.574
O  0.934  0.305  0.962
O  0.992  0.981  0.766

Principal peaks in the range 15° ≤ 2θ ≤ 90°, in order of falling intensity:
31.21°, I 100
29.86°, I 54
31.44°, I 27
38.36°, I 26
28.81°, I 22
40.25°, I 21
45.65°, I 19
41.84°, I 16
56.36°, I 15
52.66°, I 14



For MnCrTe2, the PBE geometry in the Materials Project gives the computed X-ray powder pattern in this record (a wavelength of 1.5418 Å).

Cell: 4.175 4.175 5.900 Å, 90.00 90.00 120.00°
Element x y z (fractional)
Mn  0.000  0.000  0.000
Cr  0.000  0.000  0.500
Te  0.333  0.667  0.255
Te  0.667  0.333  0.745

Principal peaks in the range 15° ≤ 2θ ≤ 90°, in order of falling intensity:
28.96°, I 100
39.42°, I 51
43.34°, I 45
52.99°, I 36
70.77°, I 23
79.56°, I 21
60.01°, I 14
86.79°, I 13
76.88°, I 13
53.79°, I 8



For US2, the PBE geometry in the Materials Project gives the computed X-ray powder pattern in this record (a wavelength of 1.5418 Å).

Cell: 7.894 7.894 5.199 Å, 109.07 109.07 83.90°
Element x y z (fractional)
U  0.000  0.000  0.000
U  0.176  0.500  0.086
U  0.500  0.824  0.914
U  0.501  0.175  0.586
U  0.825  0.499  0.414
S  0.138  0.699  0.675
S  0.139  0.300  0.460
S  0.298  0.136  0.961
S  0.301  0.862  0.325
S  0.500  0.500  0.500
S  0.502  0.498  0.000
S  0.699  0.137  0.167
S  0.700  0.861  0.540
S  0.863  0.301  0.833
S  0.864  0.702  0.039

Principal peaks in the range 15° ≤ 2θ ≤ 90°, in order of falling intensity:
25.49°, I 100
39.22°, I 41
26.72°, I 35
49.71°, I 21
38.59°, I 18
38.14°, I 18
36.12°, I 14
39.30°, I 13
19.03°, I 13
50.74°, I 11



For RbPtO3, the PBE geometry in the Materials Project gives the computed X-ray powder pattern in this record (a wavelength of 1.5418 Å).

Cell: 4.105 4.105 4.105 Å, 90.00 90.00 90.00°
Element x y z (fractional)
Rb  0.000  0.000  0.000
Pt  0.500  0.500  0.500
O  0.000  0.500  0.500
O  0.500  0.000  0.500
O  0.500  0.500  0.000

Principal peaks in the range 15° ≤ 2θ ≤ 90°, in order of falling intensity:
30.80°, I 100
54.78°, I 41
44.12°, I 29
21.65°, I 26
89.28°, I 22
64.17°, I 18
72.86°, I 18
49.66°, I 12
81.17°, I 6
68.58°, I 5



For Zr3Zn3N, the PBE geometry in the Materials Project gives the computed X-ray powder pattern in this record (a wavelength of 1.5418 Å).

Cell: 8.626 8.626 8.626 Å, 60.00 60.00 60.00°
Element x y z (fractional)
Zr  0.061  0.061  0.689
Zr  0.061  0.689  0.061
Zr  0.061  0.689  0.689
Zr  0.311  0.311  0.939
Zr  0.311  0.939  0.311
Zr  0.311  0.939  0.939
Zr  0.689  0.061  0.061
Zr  0.689  0.061  0.689
Zr  0.689  0.689  0.061
Zr  0.939  0.311  0.311
Zr  0.939  0.311  0.939
Zr  0.939  0.939  0.311
Zn  0.000  0.500  0.500
Zn  0.294  0.294  0.294
Zn  0.294  0.294  0.619
Zn  0.294  0.619  0.294
Zn  0.381  0.706  0.706
Zn  0.500  0.000  0.500
Zn  0.500  0.500  0.000
Zn  0.500  0.500  0.500
Zn  0.619  0.294  0.294
Zn  0.706  0.381  0.706
Zn  0.706  0.706  0.381
Zn  0.706  0.706  0.706
N  0.000  0.000  0.000
N  0.000  0.000  0.500
N  0.000  0.500  0.000
N  0.500  0.000  0.000

Principal peaks in the range 15° ≤ 2θ ≤ 90°, in order of falling intensity:
38.34°, I 100
36.07°, I 39
64.86°, I 38
41.89°, I 23
77.92°, I 19
31.98°, I 14
44.57°, I 9
66.37°, I 8
53.66°, I 6
62.30°, I 6



For Li3IrF6, the PBE geometry in the Materials Project gives the computed X-ray powder pattern in this record (a wavelength of 1.5418 Å).

Cell: 5.606 5.606 5.606 Å, 60.00 60.00 60.00°
Element x y z (fractional)
Li  0.000  0.000  0.000
Li  0.250  0.250  0.250
Li  0.750  0.750  0.750
Ir  0.500  0.500  0.500
F  0.246  0.246  0.754
F  0.246  0.754  0.246
F  0.246  0.754  0.754
F  0.754  0.246  0.246
F  0.754  0.246  0.754
F  0.754  0.754  0.246

Principal peaks in the range 15° ≤ 2θ ≤ 90°, in order of falling intensity:
19.39°, I 100
22.43°, I 84
37.63°, I 60
31.93°, I 37
51.56°, I 35
50.16°, I 28
45.78°, I 25
60.70°, I 20
70.24°, I 19
56.90°, I 16



For H3W, the PBE geometry in the Materials Project gives the computed X-ray powder pattern in this record (a wavelength of 1.5418 Å).

Cell: 3.066 3.053 7.509 Å, 90.00 100.96 90.00°
Element x y z (fractional)
H  0.070  0.250  0.219
H  0.390  0.250  0.780
H  0.405  0.750  0.620
H  0.595  0.250  0.380
H  0.610  0.750  0.220
H  0.930  0.750  0.781
W  0.180  0.750  0.379
W  0.820  0.250  0.621

Principal peaks in the range 15° ≤ 2θ ≤ 90°, in order of falling intensity:
38.28°, I 100
42.17°, I 96
31.72°, I 78
42.28°, I 69
34.25°, I 58
34.70°, I 51
42.85°, I 34
47.49°, I 31
49.45°, I 24
36.57°, I 24



For Cu2PO4F, the PBE geometry in the Materials Project gives the computed X-ray powder pattern in this record (a wavelength of 1.5418 Å).

Cell: 7.178 7.178 10.142 Å, 116.10 116.10 51.70°
Element x y z (fractional)
Cu  0.182  0.696  0.998
Cu  0.232  0.462  0.651
Cu  0.304  0.818  0.502
Cu  0.462  0.232  0.151
Cu  0.538  0.768  0.849
Cu  0.696  0.182  0.498
Cu  0.768  0.538  0.349
Cu  0.818  0.304  0.002
P  0.065  0.279  0.802
P  0.279  0.065  0.302
P  0.721  0.935  0.698
P  0.935  0.721  0.198
O  0.007  0.146  0.636
O  0.099  0.271  0.404
O  0.139  0.449  0.810
O  0.146  0.007  0.136
O  0.165  0.561  0.132
O  0.271  0.099  0.904
O  0.439  0.835  0.368
O  0.449  0.139  0.310
O  0.551  0.861  0.690
O  0.561  0.165  0.632
O  0.729  0.901  0.096
O  0.835  0.439  0.868
O  0.854  0.993  0.864
O  0.861  0.551  0.190
O  0.901  0.729  0.596
O  0.993  0.854  0.364
F  0.357  0.595  0.598
F  0.405  0.643  0.902
F  0.595  0.357  0.098
F  0.643  0.405  0.402

Principal peaks in the range 15° ≤ 2θ ≤ 90°, in order of falling intensity:
31.22°, I 100
30.29°, I 79
31.39°, I 55
28.02°, I 51
25.15°, I 50
48.51°, I 25
50.57°, I 24
35.13°, I 23
45.58°, I 23
35.62°, I 21



For AlHO2, the PBE geometry in the Materials Project gives the computed X-ray powder pattern in this record (a wavelength of 1.5418 Å).

Cell: 6.294 6.294 3.737 Å, 90.00 90.00 153.38°
Element x y z (fractional)
Al  0.181  0.819  0.500
Al  0.819  0.181  0.000
H  0.478  0.522  0.814
H  0.522  0.478  0.314
O  0.210  0.790  0.999
O  0.421  0.579  0.006
O  0.579  0.421  0.506
O  0.790  0.210  0.499

Principal peaks in the range 15° ≤ 2θ ≤ 90°, in order of falling intensity:
48.70°, I 100
27.97°, I 92
38.08°, I 84
71.35°, I 32
63.47°, I 29
54.88°, I 28
64.29°, I 16
67.35°, I 16
84.65°, I 13
51.11°, I 12



Question: Which formula does entry 8 have?
Answer: Cu2PO4F



Repeat the eighth record exactly.
For Cu2PO4F, the PBE geometry in the Materials Project gives the computed X-ray powder pattern in this record (a wavelength of 1.5418 Å).

Cell: 7.178 7.178 10.142 Å, 116.10 116.10 51.70°
Element x y z (fractional)
Cu  0.182  0.696  0.998
Cu  0.232  0.462  0.651
Cu  0.304  0.818  0.502
Cu  0.462  0.232  0.151
Cu  0.538  0.768  0.849
Cu  0.696  0.182  0.498
Cu  0.768  0.538  0.349
Cu  0.818  0.304  0.002
P  0.065  0.279  0.802
P  0.279  0.065  0.302
P  0.721  0.935  0.698
P  0.935  0.721  0.198
O  0.007  0.146  0.636
O  0.099  0.271  0.404
O  0.139  0.449  0.810
O  0.146  0.007  0.136
O  0.165  0.561  0.132
O  0.271  0.099  0.904
O  0.439  0.835  0.368
O  0.449  0.139  0.310
O  0.551  0.861  0.690
O  0.561  0.165  0.632
O  0.729  0.901  0.096
O  0.835  0.439  0.868
O  0.854  0.993  0.864
O  0.861  0.551  0.190
O  0.901  0.729  0.596
O  0.993  0.854  0.364
F  0.357  0.595  0.598
F  0.405  0.643  0.902
F  0.595  0.357  0.098
F  0.643  0.405  0.402

Principal peaks in the range 15° ≤ 2θ ≤ 90°, in order of falling intensity:
31.22°, I 100
30.29°, I 79
31.39°, I 55
28.02°, I 51
25.15°, I 50
48.51°, I 25
50.57°, I 24
35.13°, I 23
45.58°, I 23
35.62°, I 21



Question: What is the formula in the first record?
Answer: SrGd2BeO5